Starting from the PBE geometry in Alexandria, the X-ray diffraction stick pattern of Nd6Y4Th was computed for a wavelength of 1.5418 Å.
No peak broadening, texture or thermal motion is included.

Cell and atoms:
Cell lengths 8.8368, 8.8368, 9.6266 Å; angles 90.00, 90.00, 90.00 degrees
Atoms (fractional coordinates):
1 Nd 0.0000 0.0000 0.1693
2 Nd 0.0000 0.0000 0.8307
3 Nd 0.1453 0.3512 0.0000
4 Nd 0.1488 0.3547 0.5000
5 Nd 0.3512 0.8547 0.0000
6 Nd 0.3547 0.8512 0.5000
7 Nd 0.5000 0.5000 0.3307
8 Nd 0.5000 0.5000 0.6693
9 Nd 0.6453 0.1488 0.5000
10 Nd 0.6488 0.1453 0.0000
11 Nd 0.8512 0.6453 0.5000
12 Nd 0.8547 0.6488 0.0000
13 Y 0.1496 0.6496 0.2500
14 Y 0.1496 0.6496 0.7500
15 Y 0.3504 0.1496 0.2500
16 Y 0.3504 0.1496 0.7500
17 Y 0.6496 0.8504 0.2500
18 Y 0.6496 0.8504 0.7500
19 Y 0.8504 0.3504 0.2500
20 Y 0.8504 0.3504 0.7500
21 Th 0.0000 0.0000 0.5000
22 Th 0.5000 0.5000 0.0000

Main lines, low angle first (2θ = 5–70°):
- 2θ = 28.57°, rel. 17
- 2θ = 29.24°, rel. 100
- 2θ = 29.62°, rel. 24
- 2θ = 32.03°, rel. 81
- 2θ = 36.05°, rel. 30
- 2θ = 37.37°, rel. 13
- 2θ = 45.93°, rel. 15
- 2θ = 46.63°, rel. 13
- 2θ = 50.02°, rel. 17
- 2θ = 59.51°, rel. 23
- 2θ = 62.48°, rel. 12
- 2θ = 67.30°, rel. 11

***

Starting from the PBE geometry in Alexandria, the X-ray diffraction stick pattern of TlIn2Sb2 was computed for a wavelength of 1.5418 Å.
No peak broadening, texture or thermal motion is included.

Cell and atoms:
Cell lengths 6.5279, 6.5279, 6.5279 Å; angles 130.12, 130.12, 73.21 degrees
Atoms (fractional coordinates):
1 Tl 0.0000 0.0000 0.0000
2 In 0.3648 0.3648 0.0000
3 In 0.6352 0.6352 0.0000
4 Sb 0.2500 0.7500 0.5000
5 Sb 0.7500 0.2500 0.5000

Main lines, low angle first (2θ = 5–70°):
- 2θ = 22.84°, rel. 19
- 2θ = 28.56°, rel. 100
- 2θ = 30.30°, rel. 79
- 2θ = 32.53°, rel. 96
- 2θ = 41.55°, rel. 15
- 2θ = 45.05°, rel. 53
- 2θ = 46.35°, rel. 15
- 2θ = 46.67°, rel. 35
- 2θ = 55.63°, rel. 31
- 2θ = 56.66°, rel. 13
- 2θ = 57.82°, rel. 38
- 2θ = 66.87°, rel. 16

***

Starting from the PBE geometry in Alexandria, the X-ray diffraction stick pattern of Pm5Dy2Tm6 was computed for a wavelength of 1.5418 Å.
No peak broadening, texture or thermal motion is included.

Cell and atoms:
Cell lengths 11.5754, 20.3809, 3.5693 Å; angles 90.00, 90.00, 90.00 degrees
Atoms (fractional coordinates):
1 Pm 0.0000 0.0000 0.0000
2 Pm 0.0835 0.2723 0.0000
3 Pm 0.1988 0.5495 0.0000
4 Pm 0.3012 0.0495 0.0000
5 Pm 0.4165 0.7723 0.0000
6 Pm 0.5000 0.5000 0.0000
7 Pm 0.5835 0.2277 0.0000
8 Pm 0.6988 0.9505 0.0000
9 Pm 0.8012 0.4505 0.0000
10 Pm 0.9165 0.7277 0.0000
11 Dy 0.1712 0.7101 0.5000
12 Dy 0.3288 0.2101 0.5000
13 Dy 0.6712 0.7899 0.5000
14 Dy 0.8288 0.2899 0.5000
15 Tm 0.0613 0.4185 0.5000
16 Tm 0.0802 0.1311 0.5000
17 Tm 0.1756 0.8622 0.0000
18 Tm 0.3244 0.3622 0.0000
19 Tm 0.4198 0.6311 0.5000
20 Tm 0.4387 0.9185 0.5000
21 Tm 0.5613 0.0815 0.5000
22 Tm 0.5802 0.3689 0.5000
23 Tm 0.6756 0.6378 0.0000
24 Tm 0.8244 0.1378 0.0000
25 Tm 0.9198 0.8689 0.5000
26 Tm 0.9387 0.5815 0.5000

Main lines, low angle first (2θ = 5–70°):
- 2θ = 31.22°, rel. 68
- 2θ = 31.57°, rel. 56
- 2θ = 31.69°, rel. 65
- 2θ = 31.94°, rel. 19
- 2θ = 32.28°, rel. 100
- 2θ = 34.37°, rel. 40
- 2θ = 35.20°, rel. 22
- 2θ = 36.76°, rel. 37
- 2θ = 51.19°, rel. 24
- 2θ = 57.24°, rel. 27
- 2θ = 61.20°, rel. 24
- 2θ = 61.46°, rel. 20

***

Starting from the PBE geometry in Alexandria, the X-ray diffraction stick pattern of HfTa4Nb2 was computed for a wavelength of 1.5418 Å.
No peak broadening, texture or thermal motion is included.

Cell and atoms:
Cell lengths 7.7338, 5.1024, 7.7921 Å; angles 90.00, 119.70, 90.00 degrees
Atoms (fractional coordinates):
1 Hf 0.0000 0.0000 0.0000
2 Hf 0.2974 0.5000 0.5951
3 Ta 0.0048 0.5000 0.1733
4 Ta 0.1288 0.0000 0.4220
5 Ta 0.1331 0.5000 0.8832
6 Ta 0.3070 0.0000 0.8844
7 Ta 0.5473 0.0000 0.7110
8 Ta 0.7167 0.0000 0.1795
9 Ta 0.7202 0.5000 0.7112
10 Ta 0.8342 0.5000 0.4149
11 Nb 0.4213 0.2502 0.2973
12 Nb 0.4213 0.7498 0.2973
13 Nb 0.5529 0.5000 0.0060
14 Nb 0.8440 0.0000 0.5887

Main lines, low angle first (2θ = 5–70°):
- 2θ = 22.82°, rel. 17
- 2θ = 35.16°, rel. 94
- 2θ = 35.24°, rel. 23
- 2θ = 35.45°, rel. 33
- 2θ = 37.71°, rel. 21
- 2θ = 39.44°, rel. 74
- 2θ = 39.55°, rel. 100
- 2θ = 39.74°, rel. 76
- 2θ = 42.34°, rel. 26
- 2θ = 66.02°, rel. 39
- 2θ = 66.23°, rel. 38
- 2θ = 66.48°, rel. 12

***

Starting from the PBE geometry in Alexandria, the X-ray diffraction stick pattern of Sr2SnHgI was computed for a wavelength of 1.5418 Å.
No peak broadening, texture or thermal motion is included.

Cell and atoms:
Cell lengths 6.4297, 6.4297, 6.3153 Å; angles 90.00, 90.00, 90.00 degrees
Atoms (fractional coordinates):
1 Sr 0.0000 0.5000 0.0000
2 Sr 0.5000 0.0000 0.0000
3 Sn 0.0000 0.0000 0.0000
4 Hg 0.5000 0.5000 0.5000
5 I 0.0000 0.0000 0.5000

Main lines, low angle first (2θ = 5–70°):
- 2θ = 19.52°, rel. 40
- 2θ = 19.70°, rel. 41
- 2θ = 24.12°, rel. 100
- 2θ = 27.75°, rel. 94
- 2θ = 28.26°, rel. 45
- 2θ = 34.27°, rel. 22
- 2θ = 34.58°, rel. 20
- 2θ = 39.65°, rel. 37
- 2θ = 40.02°, rel. 71
- 2θ = 46.95°, rel. 33
- 2θ = 49.40°, rel. 39
- 2θ = 64.85°, rel. 17

***

Starting from the PBE geometry in Alexandria, the X-ray diffraction stick pattern of K3Ir2O8 was computed for a wavelength of 1.5418 Å.
No peak broadening, texture or thermal motion is included.

Cell and atoms:
Cell lengths 8.1304, 8.1304, 8.1304 Å; angles 44.19, 44.19, 44.19 degrees
Atoms (fractional coordinates):
1 K 0.0000 0.0000 0.0000
2 K 0.1991 0.1991 0.1991
3 K 0.8009 0.8009 0.8009
4 Ir 0.4038 0.4038 0.4038
5 Ir 0.5962 0.5962 0.5962
6 O 0.2463 0.7273 0.7273
7 O 0.2727 0.2727 0.7537
8 O 0.2727 0.7537 0.2727
9 O 0.3218 0.3218 0.3218
10 O 0.6782 0.6782 0.6782
11 O 0.7273 0.2463 0.7273
12 O 0.7273 0.7273 0.2463
13 O 0.7537 0.2727 0.2727

Main lines, low angle first (2θ = 5–70°):
- 2θ = 17.22°, rel. 91
- 2θ = 18.60°, rel. 16
- 2θ = 23.33°, rel. 41
- 2θ = 24.31°, rel. 19
- 2θ = 26.35°, rel. 100
- 2θ = 29.20°, rel. 92
- 2θ = 39.74°, rel. 43
- 2θ = 44.65°, rel. 29
- 2θ = 50.06°, rel. 33
- 2θ = 51.77°, rel. 18
- 2θ = 60.55°, rel. 16
- 2θ = 62.79°, rel. 21